# 1
For Tb6Tm2Cd, DFT lattice parameters and positions (GGA-PBE) gives the simulated PXRD pattern in this record (Cu Kα, 1.54184 Å).

Lattice parameters (Å, degrees): 11.2239 11.2239 6.1094 105.77 105.77 47.97
Fractional coordinates of all 18 atoms:
Tb  0.0050  0.1521  0.2132
Tb  0.0818  0.5798  0.0806
Tb  0.1521  0.0050  0.7132
Tb  0.3450  0.4967  0.5613
Tb  0.4202  0.9182  0.4194
Tb  0.4967  0.3450  0.0613
Tb  0.5033  0.6550  0.9387
Tb  0.5798  0.0818  0.5806
Tb  0.6550  0.5033  0.4387
Tb  0.8479  0.9950  0.2868
Tb  0.9182  0.4202  0.9194
Tb  0.9950  0.8479  0.7868
Tm  0.1700  0.3285  0.5601
Tm  0.3285  0.1700  0.0601
Tm  0.6715  0.8300  0.9399
Tm  0.8300  0.6715  0.4399
Cd  0.2521  0.7479  0.2500
Cd  0.7479  0.2521  0.7500

Peak list (10 most intense, 2θ from 10° to 90°, most intense first)
Position (°2θ)  d_spacing  I (rel.)
33.82  2.651  100.0
32.90  2.723  75.4
32.62  2.745  65.5
27.98  3.189  29.3
29.24  3.055  20.7
66.84  1.400  18.4
60.02  1.541  17.7
45.26  2.004  16.1
48.70  1.870  15.8
52.61  1.740  15.0

# 2
For Cs2LiPF6, DFT lattice parameters and positions (GGA-PBE) gives the simulated PXRD pattern in this record (Cu Kα, 1.54184 Å).

Lattice parameters (Å, degrees): 6.2339 6.2339 6.2339 121.56 121.56 87.33
Fractional coordinates of all 10 atoms:
Cs  0.2500  0.7500  0.5000
Cs  0.7500  0.2500  0.5000
Li  0.0000  0.0000  0.0000
P  0.5000  0.5000  0.0000
F  0.2626  0.2626  0.5251
F  0.2626  0.7374  0.0000
F  0.2799  0.2799  0.0000
F  0.7201  0.7201  0.0000
F  0.7374  0.2626  0.0000
F  0.7374  0.7374  0.4749

Peak list (10 most intense, 2θ from 10° to 90°, most intense first)
Position (°2θ)  d_spacing  I (rel.)
28.67  3.114  100.0
35.59  2.523  96.0
20.64  4.304  53.7
29.35  3.043  46.2
41.98  2.152  43.3
51.63  1.770  38.3
19.69  4.510  29.1
59.37  1.557  27.5
39.98  2.255  24.1
72.55  1.303  19.9

# 3
For Sr3CdIn2, DFT lattice parameters and positions (GGA-PBE) gives the simulated PXRD pattern in this record (Cu Kα, 1.54184 Å).

Lattice parameters (Å, degrees): 9.0589 9.0589 4.1167 90.00 90.00 143.15
Fractional coordinates of all 6 atoms:
Sr  0.0000  0.0000  0.0000
Sr  0.3343  0.6657  0.0000
Sr  0.6657  0.3343  0.0000
Cd  0.5000  0.5000  0.5000
In  0.1683  0.8317  0.5000
In  0.8317  0.1683  0.5000

Peak list (10 most intense, 2θ from 10° to 90°, most intense first)
Position (°2θ)  d_spacing  I (rel.)
30.97  2.887  100.0
31.23  2.864  48.9
55.42  1.658  37.1
54.93  1.671  19.1
44.75  2.025  17.8
64.56  1.444  11.6
89.63  1.094  9.8
43.99  2.058  9.4
72.76  1.300  8.1
73.88  1.283  7.8